Diffraction record for UMnCr2O6. The powder diffraction line list is calculated, not measured: it uses the PBE+U geometry in Alexandria and Cu Ka.
No peak broadening, texture or thermal motion is included.

Peak list (10 most intense, 2θ = 5–70°, sorted by position)
18.33°, I 53
19.81°, I 100
21.59°, I 52
23.00°, I 100
30.78°, I 67
30.92°, I 66
31.69°, I 58
32.58°, I 62
32.69°, I 59
33.79°, I 53

Crystal structure
Cell lengths 5.306, 5.490, 5.665 Å; angles 62.85, 89.94, 61.33 degrees
Space group P1 (No. 1)
Asymmetric unit:
U 0.000 0.000 0.000
Mn 0.501 0.988 0.508
Cr 0.290 0.424 0.880
Cr 0.795 0.411 0.390
O 0.078 0.243 0.180
O 0.181 0.230 0.684
O 0.418 0.522 0.168
O 0.597 0.496 0.681
O 0.719 0.859 0.207
O 0.889 0.947 0.667